# 1
For SmTlCoTe3, a cell relaxed with GGA-PBE gives the calculated PXRD pattern in this record (CuKα).
Intensities are scaled so that the largest is 100.

```
SmTlCoTe3
1.0
11.5835 0.0000 0.0000
0.0000 4.2510 0.0000
0.0000 0.0000 15.6380
Sm Tl Co Te
4 4 4 12
Direct
0.0151 0.2500 0.2393 Sm
0.4849 0.7500 0.7393 Sm
0.5151 0.2500 0.2607 Sm
0.9849 0.7500 0.7607 Sm
0.2158 0.7500 0.5004 Tl
0.2842 0.2500 0.0004 Tl
0.7158 0.7500 0.9996 Tl
0.7842 0.2500 0.4996 Tl
0.2403 0.2500 0.7201 Co
0.2597 0.7500 0.2201 Co
0.7403 0.2500 0.7799 Co
0.7597 0.7500 0.2799 Co
0.0580 0.2500 0.6244 Te
0.0955 0.7500 0.1074 Te
0.2409 0.7500 0.8198 Te
0.2591 0.2500 0.3198 Te
0.4045 0.2500 0.6074 Te
0.4420 0.7500 0.1244 Te
0.5580 0.2500 0.8756 Te
0.5955 0.7500 0.3926 Te
0.7409 0.7500 0.6802 Te
0.7591 0.2500 0.1802 Te
0.9045 0.2500 0.8926 Te
0.9420 0.7500 0.3756 Te
```

Most intense lines, 10° ≤ 2θ ≤ 80°, sorted by position:
2θ 19.07, 4.654 Å, rel. 24; 2θ 25.73, 3.462 Å, rel. 35; 2θ 27.07, 3.294 Å, rel. 35; 2θ 28.16, 3.169 Å, rel. 100; 2θ 30.88, 2.896 Å, rel. 17; 2θ 31.24, 2.864 Å, rel. 35; 2θ 31.83, 2.812 Å, rel. 31; 2θ 37.85, 2.377 Å, rel. 25; 2θ 38.69, 2.327 Å, rel. 16; 2θ 38.99, 2.310 Å, rel. 26; 2θ 42.53, 2.125 Å, rel. 32; 2θ 58.23, 1.584 Å, rel. 16

---

# 2
For Co2Sn3, a cell relaxed with GGA-PBE gives the calculated PXRD pattern in this record (CuKα).
Intensities are scaled so that the largest is 100.

```
Co2Sn3
1.0
3.0956 1.7872 5.8817
-3.0956 1.7872 5.8817
0.0000 -3.5744 5.8817
Co Sn
4 6
Direct
0.1720 0.1720 0.1720 Co
0.3280 0.3280 0.3280 Co
0.6720 0.6720 0.6720 Co
0.8280 0.8280 0.8280 Co
0.1017 0.7500 0.3983 Sn
0.2500 0.6017 0.8983 Sn
0.3983 0.1017 0.7500 Sn
0.6017 0.8983 0.2500 Sn
0.7500 0.3983 0.1017 Sn
0.8983 0.2500 0.6017 Sn
```

Most intense lines, 10° ≤ 2θ ≤ 80°, sorted by position:
2θ 26.16, 3.407 Å, rel. 5; 2θ 30.39, 2.941 Å, rel. 12; 2θ 32.69, 2.739 Å, rel. 100; 2θ 34.98, 2.565 Å, rel. 6; 2θ 42.39, 2.132 Å, rel. 46; 2θ 51.11, 1.787 Å, rel. 33; 2θ 55.48, 1.656 Å, rel. 23; 2θ 60.63, 1.527 Å, rel. 10; 2θ 62.00, 1.497 Å, rel. 15; 2θ 63.24, 1.470 Å, rel. 6; 2θ 68.50, 1.370 Å, rel. 11; 2θ 78.78, 1.215 Å, rel. 8

---

Please write out number 2 again, unchanged.
For Co2Sn3, a cell relaxed with GGA-PBE gives the calculated PXRD pattern in this record (CuKα).
Intensities are scaled so that the largest is 100.

```
Co2Sn3
1.0
3.0956 1.7872 5.8817
-3.0956 1.7872 5.8817
0.0000 -3.5744 5.8817
Co Sn
4 6
Direct
0.1720 0.1720 0.1720 Co
0.3280 0.3280 0.3280 Co
0.6720 0.6720 0.6720 Co
0.8280 0.8280 0.8280 Co
0.1017 0.7500 0.3983 Sn
0.2500 0.6017 0.8983 Sn
0.3983 0.1017 0.7500 Sn
0.6017 0.8983 0.2500 Sn
0.7500 0.3983 0.1017 Sn
0.8983 0.2500 0.6017 Sn
```

Most intense lines, 10° ≤ 2θ ≤ 80°, sorted by position:
2θ 26.16, 3.407 Å, rel. 5; 2θ 30.39, 2.941 Å, rel. 12; 2θ 32.69, 2.739 Å, rel. 100; 2θ 34.98, 2.565 Å, rel. 6; 2θ 42.39, 2.132 Å, rel. 46; 2θ 51.11, 1.787 Å, rel. 33; 2θ 55.48, 1.656 Å, rel. 23; 2θ 60.63, 1.527 Å, rel. 10; 2θ 62.00, 1.497 Å, rel. 15; 2θ 63.24, 1.470 Å, rel. 6; 2θ 68.50, 1.370 Å, rel. 11; 2θ 78.78, 1.215 Å, rel. 8